1.
SrSn2O4: calculated powder XRD pattern (a wavelength of 1.5418 Å), based on DFT lattice parameters and positions (PBE).
Intensities are scaled so that the largest is 100.

Largest 12 diffraction maxima, sorted by position, 5° ≤ 2θ ≤ 70°:
d = 5.507 Å, intensity 16; d = 3.489 Å, intensity 10; d = 3.198 Å, intensity 31; d = 2.750 Å, intensity 100; d = 2.097 Å, intensity 14; d = 1.836 Å, intensity 11; d = 1.745 Å, intensity 24; d = 1.737 Å, intensity 13; d = 1.599 Å, intensity 10; d = 1.585 Å, intensity 8; d = 1.385 Å, intensity 7; d = 1.374 Å, intensity 13

Structure:
```
SrSn2O4
1.0
-3.1700 3.1700 5.5565
3.1700 -3.1700 5.5565
3.1700 3.1700 -5.5565
Sr Sn O
2 4 8
Direct
0.3750 0.1250 0.2500 Sr
0.6250 0.8750 0.7500 Sr
0.0000 0.0000 0.5000 Sn
0.0000 0.5000 0.0000 Sn
0.0000 0.5000 0.5000 Sn
0.5000 0.5000 0.0000 Sn
0.0109 0.7042 0.8779 O
0.2042 0.8264 0.6933 O
0.3264 0.1330 0.6221 O
0.3670 0.4891 0.1933 O
0.6330 0.5109 0.8067 O
0.6736 0.8670 0.3779 O
0.7958 0.1736 0.3067 O
0.9891 0.2958 0.1221 O
```

=====

2.
CdAu: calculated powder XRD pattern (a wavelength of 1.5418 Å), based on DFT lattice parameters and positions (PBE).
Intensities are scaled so that the largest is 100.

Largest 12 diffraction maxima, sorted by position, 5° ≤ 2θ ≤ 70°:
d = 3.409 Å, intensity 9; d = 2.871 Å, intensity 8; d = 2.686 Å, intensity 12; d = 2.466 Å, intensity 18; d = 2.457 Å, intensity 58; d = 2.440 Å, intensity 24; d = 2.378 Å, intensity 100; d = 2.358 Å, intensity 12; d = 1.712 Å, intensity 9; d = 1.704 Å, intensity 13; d = 1.435 Å, intensity 9; d = 1.404 Å, intensity 12

Structure:
```
CdAu
1.0
9.7587 0.0000 0.0000
0.0000 8.5330 0.0000
0.0000 0.0000 5.7416
Cd Au
12 12
Direct
0.1198 0.2500 0.0000 Cd
0.1198 0.2500 0.5000 Cd
0.1692 0.6335 0.2500 Cd
0.1692 0.8665 0.7500 Cd
0.3738 0.0438 0.2500 Cd
0.3738 0.4562 0.7500 Cd
0.6262 0.5438 0.2500 Cd
0.6262 0.9562 0.7500 Cd
0.8308 0.1335 0.2500 Cd
0.8308 0.3665 0.7500 Cd
0.8802 0.7500 0.0000 Cd
0.8802 0.7500 0.5000 Cd
0.0828 0.5478 0.7500 Au
0.0828 0.9522 0.2500 Au
0.3550 0.1154 0.7500 Au
0.3550 0.3846 0.2500 Au
0.4108 0.7500 0.0000 Au
0.4108 0.7500 0.5000 Au
0.5892 0.2500 0.0000 Au
0.5892 0.2500 0.5000 Au
0.6450 0.6154 0.7500 Au
0.6450 0.8846 0.2500 Au
0.9172 0.0478 0.7500 Au
0.9172 0.4522 0.2500 Au
```

=====

3.
Tl5Si2Se6: calculated powder XRD pattern (a wavelength of 1.5418 Å), based on DFT lattice parameters and positions (PBE).
Intensities are scaled so that the largest is 100.

Largest 12 diffraction maxima, sorted by position, 5° ≤ 2θ ≤ 70°:
d = 6.527 Å, intensity 26; d = 5.845 Å, intensity 26; d = 3.490 Å, intensity 20; d = 3.285 Å, intensity 100; d = 3.231 Å, intensity 30; d = 3.117 Å, intensity 61; d = 2.923 Å, intensity 77; d = 2.840 Å, intensity 45; d = 2.798 Å, intensity 54; d = 2.587 Å, intensity 35; d = 2.499 Å, intensity 26; d = 1.812 Å, intensity 21

Structure:
```
Tl5Si2Se6
1.0
6.3198 -3.9214 0.0000
6.3198 3.9214 0.0000
-5.7300 0.0000 16.7997
Tl Si Se
10 4 12
Direct
0.1515 0.2882 0.7365 Tl
0.1563 0.7158 0.9524 Tl
0.2118 0.7882 0.7500 Tl
0.2842 0.8437 0.5476 Tl
0.2882 0.1515 0.2365 Tl
0.7118 0.8485 0.7635 Tl
0.7158 0.1563 0.4524 Tl
0.7882 0.2118 0.2500 Tl
0.8437 0.2842 0.0476 Tl
0.8485 0.7118 0.2635 Tl
0.1322 0.3766 0.4344 Si
0.3766 0.1322 0.9344 Si
0.6234 0.8678 0.0656 Si
0.8678 0.6234 0.5656 Si
0.0470 0.1915 0.8795 Se
0.1915 0.0470 0.3795 Se
0.2189 0.4186 0.5738 Se
0.2925 0.5092 0.3880 Se
0.4186 0.2189 0.0738 Se
0.4908 0.7075 0.1120 Se
0.5092 0.2925 0.8880 Se
0.5814 0.7811 0.9262 Se
0.7075 0.4908 0.6120 Se
0.7811 0.5814 0.4262 Se
0.8085 0.9530 0.6205 Se
0.9530 0.8085 0.1205 Se
```

=====

4.
KH2Br3: calculated powder XRD pattern (a wavelength of 1.5418 Å), based on DFT lattice parameters and positions (PBE).
Intensities are scaled so that the largest is 100.

Largest 12 diffraction maxima, sorted by position, 5° ≤ 2θ ≤ 70°:
d = 4.336 Å, intensity 29; d = 3.593 Å, intensity 62; d = 3.532 Å, intensity 56; d = 3.290 Å, intensity 100; d = 3.265 Å, intensity 40; d = 3.244 Å, intensity 69; d = 2.776 Å, intensity 32; d = 2.733 Å, intensity 21; d = 2.696 Å, intensity 48; d = 2.431 Å, intensity 38; d = 2.204 Å, intensity 26; d = 1.851 Å, intensity 26

Structure:
```
KH2Br3
1.0
5.7520 -4.1523 0.0000
5.7520 4.1523 0.0000
-3.0833 0.0000 7.1855
K H Br
2 4 6
Direct
0.2413 0.7587 0.7500 K
0.7587 0.2413 0.2500 K
0.0883 0.6866 0.2847 H
0.3134 0.9117 0.2153 H
0.6866 0.0883 0.7847 H
0.9117 0.3134 0.7153 H
0.1205 0.2651 0.6650 Br
0.2651 0.1205 0.1650 Br
0.3583 0.6417 0.2500 Br
0.6417 0.3583 0.7500 Br
0.7349 0.8795 0.8350 Br
0.8795 0.7349 0.3350 Br
```

=====

5.
Tm2ZnGaRu2: calculated powder XRD pattern (a wavelength of 1.5418 Å), based on DFT lattice parameters and positions (PBE).
Intensities are scaled so that the largest is 100.

Largest 12 diffraction maxima, sorted by position, 5° ≤ 2θ ≤ 70°:
d = 3.481 Å, intensity 19; d = 2.846 Å, intensity 30; d = 2.835 Å, intensity 30; d = 2.632 Å, intensity 100; d = 2.626 Å, intensity 31; d = 2.321 Å, intensity 21; d = 2.201 Å, intensity 87; d = 2.009 Å, intensity 85; d = 1.598 Å, intensity 28; d = 1.519 Å, intensity 22; d = 1.423 Å, intensity 17; d = 1.418 Å, intensity 16

Structure:
```
Tm2ZnGaRu2
1.0
-2.8354 6.9638 2.8460
2.8354 -6.9638 2.8460
2.8354 6.9638 -2.8460
Tm Zn Ga Ru
4 2 2 4
Direct
0.1709 0.2424 0.4133 Tm
0.3291 0.7424 0.0714 Tm
0.6709 0.2576 0.9286 Tm
0.8291 0.7576 0.5867 Tm
0.2500 0.2500 0.0000 Zn
0.7500 0.7500 0.0000 Zn
0.2500 0.7500 0.5000 Ga
0.7500 0.2500 0.5000 Ga
0.1199 0.7384 0.8584 Ru
0.3801 0.2384 0.6185 Ru
0.6199 0.7616 0.3815 Ru
0.8801 0.2616 0.1416 Ru
```

=====

6.
Ag3HgBr8: calculated powder XRD pattern (a wavelength of 1.5418 Å), based on DFT lattice parameters and positions (PBE).
Intensities are scaled so that the largest is 100.

Largest 12 diffraction maxima, sorted by position, 5° ≤ 2θ ≤ 70°:
d = 5.494 Å, intensity 100; d = 5.070 Å, intensity 84; d = 4.990 Å, intensity 20; d = 3.914 Å, intensity 23; d = 3.673 Å, intensity 34; d = 3.578 Å, intensity 22; d = 2.747 Å, intensity 21; d = 2.711 Å, intensity 66; d = 2.459 Å, intensity 18; d = 2.431 Å, intensity 26; d = 2.270 Å, intensity 20; d = 1.740 Å, intensity 17

Structure:
```
Ag3HgBr8
1.0
7.3792 -2.7112 0.0000
7.3792 2.7112 0.0000
-2.7896 0.0000 10.9882
Ag Hg Br
3 1 8
Direct
0.0000 0.0000 0.0000 Ag
0.0808 0.0808 0.4706 Ag
0.2929 0.2929 0.9449 Ag
0.3720 0.3720 0.4758 Hg
0.1041 0.1041 0.2398 Br
0.1173 0.1173 0.8567 Br
0.2570 0.2570 0.6189 Br
0.2980 0.2980 0.2336 Br
0.4726 0.4726 0.9921 Br
0.5616 0.5616 0.4675 Br
0.8122 0.8122 0.9516 Br
0.9268 0.9268 0.5475 Br
```

=====

7.
Pr3BiP2: calculated powder XRD pattern (a wavelength of 1.5418 Å), based on DFT lattice parameters and positions (PBE).
Intensities are scaled so that the largest is 100.

Largest 12 diffraction maxima, sorted by position, 5° ≤ 2θ ≤ 70°:
d = 4.183 Å, intensity 15; d = 3.437 Å, intensity 40; d = 3.237 Å, intensity 100; d = 3.098 Å, intensity 31; d = 2.940 Å, intensity 21; d = 2.844 Å, intensity 39; d = 2.756 Å, intensity 36; d = 2.577 Å, intensity 17; d = 2.436 Å, intensity 35; d = 1.915 Å, intensity 16; d = 1.764 Å, intensity 33; d = 1.521 Å, intensity 15

Structure:
```
Pr3BiP2
1.0
2.4362 -7.1595 0.0000
2.4362 7.1595 0.0000
0.0000 0.0000 10.3085
Pr Bi P
6 2 4
Direct
0.0947 0.9053 0.7500 Pr
0.3803 0.6197 0.5562 Pr
0.3803 0.6197 0.9438 Pr
0.6197 0.3803 0.0562 Pr
0.6197 0.3803 0.4438 Pr
0.9053 0.0947 0.2500 Pr
0.2316 0.7684 0.2500 Bi
0.7684 0.2316 0.7500 Bi
0.0000 0.0000 0.0000 P
0.0000 0.0000 0.5000 P
0.4886 0.5114 0.2500 P
0.5114 0.4886 0.7500 P
```

=====

8.
NaEuMg: calculated powder XRD pattern (a wavelength of 1.5418 Å), based on DFT lattice parameters and positions (PBE).
Intensities are scaled so that the largest is 100.

Largest 12 diffraction maxima, sorted by position, 5° ≤ 2θ ≤ 70°:
d = 6.130 Å, intensity 36; d = 3.871 Å, intensity 59; d = 3.065 Å, intensity 10; d = 2.886 Å, intensity 100; d = 2.610 Å, intensity 18; d = 2.101 Å, intensity 23; d = 2.041 Å, intensity 18; d = 1.935 Å, intensity 8; d = 1.805 Å, intensity 15; d = 1.698 Å, intensity 7; d = 1.666 Å, intensity 37; d = 1.443 Å, intensity 11

Structure:
```
NaEuMg
1.0
4.0794 0.0000 0.0000
0.0000 4.0794 0.0000
0.0000 0.0000 12.2601
Na Eu Mg
2 2 2
Direct
0.0000 0.0000 0.0000 Na
0.5000 0.5000 0.5000 Na
0.0000 0.0000 0.6960 Eu
0.5000 0.5000 0.1960 Eu
0.0000 0.0000 0.3612 Mg
0.5000 0.5000 0.8612 Mg
```

=====

9.
HoTlPb: calculated powder XRD pattern (a wavelength of 1.5418 Å), based on DFT lattice parameters and positions (PBE).
Intensities are scaled so that the largest is 100.

Largest 12 diffraction maxima, sorted by position, 5° ≤ 2θ ≤ 70°:
d = 2.766 Å, intensity 100; d = 2.735 Å, intensity 23; d = 2.306 Å, intensity 15; d = 2.229 Å, intensity 14; d = 1.763 Å, intensity 13; d = 1.728 Å, intensity 12; d = 1.603 Å, intensity 10; d = 1.585 Å, intensity 16; d = 1.405 Å, intensity 13; d = 1.383 Å, intensity 12; d = 1.370 Å, intensity 12; d = 1.367 Å, intensity 2

Structure:
```
HoTlPb
1.0
4.6119 0.0000 0.0000
0.0000 16.4076 0.0000
0.0000 0.0000 4.4589
Ho Tl Pb
4 4 4
Direct
0.0000 0.0900 0.2500 Ho
0.0000 0.9100 0.7500 Ho
0.5000 0.4100 0.7500 Ho
0.5000 0.5900 0.2500 Ho
0.0000 0.2548 0.7500 Tl
0.0000 0.7452 0.2500 Tl
0.5000 0.2452 0.2500 Tl
0.5000 0.7548 0.7500 Tl
0.0000 0.4267 0.2500 Pb
0.0000 0.5733 0.7500 Pb
0.5000 0.0733 0.7500 Pb
0.5000 0.9267 0.2500 Pb
```

=====

10.
NdDy4Tl7: calculated powder XRD pattern (a wavelength of 1.5418 Å), based on DFT lattice parameters and positions (PBE).
Intensities are scaled so that the largest is 100.

Largest 12 diffraction maxima, sorted by position, 5° ≤ 2θ ≤ 70°:
d = 4.041 Å, intensity 25; d = 3.185 Å, intensity 27; d = 3.127 Å, intensity 37; d = 2.878 Å, intensity 93; d = 2.838 Å, intensity 53; d = 2.620 Å, intensity 100; d = 2.410 Å, intensity 39; d = 2.399 Å, intensity 62; d = 2.118 Å, intensity 25; d = 2.021 Å, intensity 41; d = 1.606 Å, intensity 37; d = 1.394 Å, intensity 26

Structure:
```
NdDy4Tl7
1.0
6.6926 -2.8776 0.0000
6.6926 2.8776 0.0000
-6.4069 0.0000 9.5353
Nd Dy Tl
1 4 7
Direct
0.0000 0.0000 0.0000 Nd
0.2794 0.2794 0.6708 Dy
0.4138 0.4138 0.2173 Dy
0.5862 0.5862 0.7827 Dy
0.7206 0.7206 0.3292 Dy
0.0795 0.0795 0.3284 Tl
0.2154 0.2154 0.8952 Tl
0.3655 0.3655 0.4555 Tl
0.5000 0.5000 0.0000 Tl
0.6345 0.6345 0.5445 Tl
0.7846 0.7846 0.1048 Tl
0.9205 0.9205 0.6716 Tl
```

=====

11.
Ac12Pr6Ho: calculated powder XRD pattern (a wavelength of 1.5418 Å), based on DFT lattice parameters and positions (PBE).
Intensities are scaled so that the largest is 100.

Largest 12 diffraction maxima, sorted by position, 5° ≤ 2θ ≤ 70°:
d = 8.454 Å, intensity 2; d = 3.616 Å, intensity 2; d = 3.184 Å, intensity 34; d = 3.169 Å, intensity 100; d = 2.748 Å, intensity 69; d = 1.946 Å, intensity 25; d = 1.939 Å, intensity 26; d = 1.661 Å, intensity 15; d = 1.656 Å, intensity 46; d = 1.592 Å, intensity 4; d = 1.585 Å, intensity 13; d = 1.374 Å, intensity 8

Structure:
```
Ac12Pr6Ho
1.0
8.4541 4.8810 3.1842
-8.4541 4.8810 3.1842
0.0000 -9.7619 3.1842
Ac Pr Ho
12 6 1
Direct
0.0646 0.5838 0.3760 Ac
0.1017 0.1545 0.7383 Ac
0.1545 0.7383 0.1017 Ac
0.2617 0.8983 0.8455 Ac
0.3760 0.0646 0.5838 Ac
0.4162 0.6240 0.9354 Ac
0.5838 0.3760 0.0646 Ac
0.6240 0.9354 0.4162 Ac
0.7383 0.1017 0.1545 Ac
0.8455 0.2617 0.8983 Ac
0.8983 0.8455 0.2617 Ac
0.9354 0.4162 0.6240 Ac
0.2137 0.3164 0.4670 Pr
0.3164 0.4670 0.2137 Pr
0.4670 0.2137 0.3164 Pr
0.5330 0.7863 0.6836 Pr
0.6836 0.5330 0.7863 Pr
0.7863 0.6836 0.5330 Pr
0.0000 0.0000 0.0000 Ho
```

=====

12.
ZrScPb2: calculated powder XRD pattern (a wavelength of 1.5418 Å), based on DFT lattice parameters and positions (PBE).
Intensities are scaled so that the largest is 100.

Largest 12 diffraction maxima, sorted by position, 5° ≤ 2θ ≤ 70°:
d = 4.341 Å, intensity 21; d = 3.328 Å, intensity 22; d = 2.641 Å, intensity 100; d = 2.518 Å, intensity 22; d = 2.217 Å, intensity 15; d = 2.170 Å, intensity 14; d = 1.818 Å, intensity 9; d = 1.664 Å, intensity 13; d = 1.644 Å, intensity 12; d = 1.551 Å, intensity 10; d = 1.476 Å, intensity 17; d = 1.348 Å, intensity 13

Structure:
```
ZrScPb2
1.0
4.4337 0.0000 0.0000
0.0000 5.0365 0.0000
0.0000 0.0000 8.6796
Zr Sc Pb
2 2 4
Direct
0.0000 0.0000 0.0000 Zr
0.5000 0.5000 0.5000 Zr
0.0000 0.0000 0.5000 Sc
0.5000 0.5000 0.0000 Sc
0.0000 0.5000 0.2496 Pb
0.0000 0.5000 0.7504 Pb
0.5000 0.0000 0.2504 Pb
0.5000 0.0000 0.7496 Pb
```

=====

13.
LaSmGaPt: calculated powder XRD pattern (a wavelength of 1.5418 Å), based on DFT lattice parameters and positions (PBE).
Intensities are scaled so that the largest is 100.

Largest 12 diffraction maxima, sorted by position, 5° ≤ 2θ ≤ 70°:
d = 5.357 Å, intensity 18; d = 2.968 Å, intensity 100; d = 2.739 Å, intensity 32; d = 2.678 Å, intensity 18; d = 2.336 Å, intensity 61; d = 2.298 Å, intensity 26; d = 2.237 Å, intensity 27; d = 2.135 Å, intensity 23; d = 1.732 Å, intensity 16; d = 1.564 Å, intensity 16; d = 1.544 Å, intensity 17; d = 1.441 Å, intensity 13

Structure:
```
LaSmGaPt
1.0
4.4731 0.0000 0.0000
0.0000 4.2700 0.0000
0.0000 0.0000 10.7134
La Sm Ga Pt
2 2 2 2
Direct
0.0000 0.0000 0.0000 La
0.0000 0.5000 0.5000 La
0.5000 0.0000 0.7166 Sm
0.5000 0.5000 0.2166 Sm
0.5000 0.0000 0.4241 Ga
0.5000 0.5000 0.9241 Ga
0.0000 0.0000 0.2803 Pt
0.0000 0.5000 0.7803 Pt
```